Record 1
Diffraction record for BeCrO4. The powder diffraction line list is simulated, not measured: it uses a cell relaxed with GGA+U and Cu Kα.
Peak positions follow from Bragg's law for the DFT cell and can differ from measured ones.

a b c (Å): 4.9110 8.3287 8.5683
angles (deg): 90.00 116.66 90.00
Space group P2_1/c (No. 14)
Unique sites:
Be1 0.0955 0.1038 0.2529 [4 per cell]
Cr1 0.2972 0.6985 0.6443 [4 per cell]
O1 0.0841 0.6418 0.1291 [4 per cell]
O2 0.1710 0.6096 0.4509 [4 per cell]
O3 0.2689 0.5693 0.7859 [4 per cell]
O4 0.3419 0.2460 0.2869 [4 per cell]

Most intense lines, 2θ = 10–90°, by intensity:
2θ = 22.92°, d 3.879, I = 1000, hkl 1 1 0
2θ = 25.61°, d 3.479, I = 651, hkl 0 1 2
2θ = 28.21°, d 3.163, I = 354, hkl 1 2 -1
2θ = 21.34°, d 4.164, I = 311, hkl 0 2 0
2θ = 31.55°, d 2.835, I = 264, hkl 1 2 -2
2θ = 23.23°, d 3.829, I = 160, hkl 0 0 2
2θ = 43.63°, d 2.074, I = 133, hkl 1 1 -4
2θ = 29.62°, d 3.016, I = 133, hkl 1 1 1
2θ = 21.15°, d 4.200, I = 126, hkl 1 1 -1
2θ = 50.03°, d 1.823, I = 110, hkl 2 3 -1
2θ = 41.14°, d 2.194, I = 96, hkl 2 0 0
2θ = 40.12°, d 2.248, I = 95, hkl 0 3 2



Record 2
Diffraction record for BeCrO4. The powder diffraction line list is simulated, not measured: it uses a cell relaxed with GGA+U and Cu Kα.
Peak positions follow from Bragg's law for the DFT cell and can differ from measured ones.

a b c (Å): 10.8623 9.3460 5.7209
angles (deg): 90.00 106.27 90.00
Space group C2/m (No. 12)
Unique sites:
Be1 0.0000 0.2488 0.0000 [4 per cell]
Be2 0.1135 0.0000 0.2933 [4 per cell]
Cr1 0.0000 0.2384 0.5000 [4 per cell]
Cr2 0.2203 0.5000 0.1132 [4 per cell]
O1 0.0222 0.1468 0.2416 [8 per cell]
O2 0.1215 0.3397 0.5944 [8 per cell]
O3 0.1272 0.3562 0.0637 [8 per cell]
O4 0.1846 0.0000 0.5960 [4 per cell]
O5 0.1914 0.0000 0.0831 [4 per cell]

Most intense lines, 2θ = 10–90°, by intensity:
2θ = 25.60°, d 3.480, I = 1000, hkl 2 2 0
2θ = 25.02°, d 3.559, I = 423, hkl 0 2 1
2θ = 26.67°, d 3.342, I = 258, hkl 2 0 1
2θ = 19.93°, d 4.455, I = 190, hkl 2 0 -1
2θ = 27.94°, d 3.194, I = 185, hkl 3 1 -1
2θ = 18.62°, d 4.766, I = 185, hkl 1 1 -1
2θ = 32.75°, d 2.735, I = 158, hkl 1 1 -2
2θ = 32.31°, d 2.771, I = 138, hkl 2 0 -2
2θ = 38.82°, d 2.320, I = 115, hkl 3 3 0
2θ = 46.78°, d 1.942, I = 95, hkl 4 2 1
2θ = 45.09°, d 2.011, I = 91, hkl 4 2 -2
2θ = 52.61°, d 1.740, I = 91, hkl 4 4 0



Record 3
Diffraction record for BeCrO4. The powder diffraction line list is simulated, not measured: it uses a cell relaxed with GGA+U and Cu Kα.
Peak positions follow from Bragg's law for the DFT cell and can differ from measured ones.

a b c (Å): 8.5170 5.2793 8.6571
angles (deg): 90.00 118.60 90.00
Space group P2_1/c (No. 14)
Unique sites:
Be1 0.2049 0.0846 0.2879 [4 per cell]
Cr1 0.2773 0.5958 0.1697 [4 per cell]
O1 0.1696 0.6267 0.6498 [4 per cell]
O2 0.1850 0.1318 0.7391 [4 per cell]
O3 0.2579 0.5149 0.9738 [4 per cell]
O4 0.4831 0.6274 0.3098 [4 per cell]

Most intense lines, 2θ = 10–90°, by intensity:
2θ = 20.51°, d 4.330, I = 1000, hkl 1 0 -2
2θ = 23.80°, d 3.739, I = 845, hkl 2 0 0
2θ = 20.64°, d 4.303, I = 682, hkl 1 1 -1
2θ = 26.90°, d 3.314, I = 660, hkl 2 1 -1
2θ = 29.53°, d 3.025, I = 439, hkl 2 1 -2
2θ = 23.41°, d 3.801, I = 418, hkl 0 0 2
2θ = 36.15°, d 2.485, I = 298, hkl 1 2 -1
2θ = 26.43°, d 3.373, I = 278, hkl 1 1 1
2θ = 47.38°, d 1.919, I = 268, hkl 3 2 -1
2θ = 31.08°, d 2.877, I = 144, hkl 1 0 2
2θ = 28.95°, d 3.084, I = 133, hkl 0 1 2
2θ = 36.02°, d 2.493, I = 130, hkl 0 2 1